Mo2P2O11: calculated powder X-ray diffraction pattern (a wavelength of 1.5418 Å), based on DFT lattice parameters and positions (PBE+U).

Crystal structure
Unit cell a=12.9100 b=6.4136 c=10.8684 alpha=90.00 beta=90.00 gamma=90.00
Fractional positions:
1 Mo 0.0067 0.2500 0.2281
2 Mo 0.2454 0.7500 0.5289
3 Mo 0.2546 0.2500 0.0289
4 Mo 0.4933 0.7500 0.7281
5 Mo 0.5067 0.2500 0.2719
6 Mo 0.7454 0.7500 0.9711
7 Mo 0.7546 0.2500 0.4711
8 Mo 0.9933 0.7500 0.7719
9 P 0.0323 0.7500 0.3154
10 P 0.1568 0.2500 0.5174
11 P 0.3432 0.7500 0.0174
12 P 0.4677 0.2500 0.8154
13 P 0.5323 0.7500 0.1846
14 P 0.6568 0.2500 0.9826
15 P 0.8432 0.7500 0.4826
16 P 0.9677 0.2500 0.6846
17 O 0.0398 0.5565 0.2330
18 O 0.0395 0.7500 0.9189
19 O 0.0398 0.9435 0.2330
20 O 0.0838 0.2500 0.6359
21 O 0.0945 0.2500 0.4019
22 O 0.1066 0.7500 0.4229
23 O 0.1073 0.7500 0.6825
24 O 0.1677 0.2500 0.1550
25 O 0.1735 0.2500 0.9058
26 O 0.2255 0.0573 0.5359
27 O 0.2255 0.4427 0.5359
28 O 0.2745 0.5573 0.0359
29 O 0.2745 0.9427 0.0359
30 O 0.3265 0.7500 0.4058
31 O 0.3323 0.7500 0.6550
32 O 0.3927 0.2500 0.1825
33 O 0.3934 0.2500 0.9229
34 O 0.4055 0.7500 0.9019
35 O 0.4162 0.7500 0.1359
36 O 0.4602 0.0565 0.7330
37 O 0.4605 0.2500 0.4189
38 O 0.4602 0.4435 0.7330
39 O 0.5398 0.5565 0.2670
40 O 0.5395 0.7500 0.5811
41 O 0.5398 0.9435 0.2670
42 O 0.5838 0.2500 0.8641
43 O 0.5945 0.2500 0.0981
44 O 0.6066 0.7500 0.0771
45 O 0.6073 0.7500 0.8175
46 O 0.6677 0.2500 0.3450
47 O 0.6735 0.2500 0.5942
48 O 0.7255 0.0573 0.9641
49 O 0.7255 0.4427 0.9641
50 O 0.7745 0.5573 0.4641
51 O 0.7745 0.9427 0.4641
52 O 0.8265 0.7500 0.0942
53 O 0.8323 0.7500 0.8450
54 O 0.8927 0.2500 0.3175
55 O 0.8934 0.2500 0.5771
56 O 0.9055 0.7500 0.5981
57 O 0.9162 0.7500 0.3641
58 O 0.9602 0.0565 0.7670
59 O 0.9605 0.2500 0.0811
60 O 0.9602 0.4435 0.7670

The 12 most intense peaks (5° ≤ 2θ ≤ 70°), low angle first:
(hkl)  Position (°2θ)  I_rel
1 0 1  10.64  9
0 1 1  16.04  20
1 1 1  17.46  27
2 0 2  21.37  100
1 1 2  22.52  11
3 1 1  26.25  16
4 0 0  27.64  12
0 2 0  27.82  38
2 1 3  31.57  8
2 2 2  35.35  20
4 0 4  43.54  8
6 0 2  45.35  9